This entry pairs a crystal structure of Sn3Sb2Te with its calculated PXRD pattern. Radiation: Cu Ka. Structure: a structure optimized by DFT (GGA-PBE).
Lines closer than 0.1° are merged.

Cell and atoms:
a b c (Å): 14.618 13.948 7.629
angles (deg): 79.43 69.71 30.86
Fractional positions:
Sn 0.045 0.541 0.198
Sn 0.115 0.635 0.635
Sn 0.198 0.715 0.045
Sn 0.285 0.802 0.459
Sn 0.365 0.885 0.885
Sn 0.459 0.955 0.285
Sn 0.541 0.045 0.715
Sn 0.635 0.115 0.115
Sn 0.715 0.198 0.541
Sn 0.802 0.285 0.955
Sn 0.885 0.365 0.365
Sn 0.955 0.459 0.802
Sb 0.040 0.040 0.210
Sb 0.127 0.127 0.623
Sb 0.210 0.210 0.040
Sb 0.377 0.377 0.873
Sb 0.623 0.623 0.127
Sb 0.790 0.790 0.960
Sb 0.873 0.873 0.377
Sb 0.960 0.960 0.790
Te 0.292 0.292 0.458
Te 0.458 0.458 0.292
Te 0.542 0.542 0.708
Te 0.708 0.708 0.542

Most intense lines, 2θ = 10–80°, by angle:
two_theta, I_rel
28.60, 100
28.71, 50
40.89, 38
40.97, 76
50.73, 41
59.21, 13
67.11, 26
67.28, 18
74.46, 13
74.60, 20